Sr2LiFeO3F: simulated powder diffraction line list (copper Kα), based on a cell relaxed with PBE+U.
Lines closer than 0.1° are merged.

Top 10 peaks for 15° ≤ 2θ ≤ 90°, in order of rising 2θ:
18.03°, I 50; 18.87°, I 75; 27.06°, I 57; 29.58°, I 51; 30.55°, I 100; 32.52°, I 47; 36.53°, I 35; 38.27°, I 35; 39.39°, I 46; 47.31°, I 35

Unit cell a=3.850 b=5.180 c=7.155 alpha=71.84 beta=75.71 gamma=87.32
Sites, in units of the cell vectors:
Sr 0.000 0.000 0.000
Sr 0.295 0.571 0.479
Li 0.537 0.564 0.859
Fe 0.782 0.008 0.600
O 0.072 0.753 0.757
O 0.597 0.251 0.757
O 0.813 0.890 0.370
F 0.444 0.646 0.108

La3Mn2Sb3O14: simulated powder diffraction line list (copper Kα), based on a cell relaxed with PBE+U.
Lines closer than 0.1° are merged.

Top 10 peaks for 15° ≤ 2θ ≤ 90°, in order of rising 2θ:
16.65°, I 10; 28.78°, I 100; 29.84°, I 31; 33.66°, I 41; 47.64°, I 34; 49.04°, I 29; 56.62°, I 15; 57.24°, I 27; 58.48°, I 14; 77.05°, I 12

Unit cell a=7.435 b=7.435 c=7.435 alpha=61.79 beta=61.79 gamma=61.79
Sites, in units of the cell vectors:
La 0.000 0.500 0.500
La 0.500 0.000 0.500
La 0.500 0.500 0.000
Mn 0.000 0.000 0.000
Mn 0.500 0.500 0.500
Sb 0.000 0.000 0.500
Sb 0.000 0.500 0.000
Sb 0.500 0.000 0.000
O 0.080 0.682 0.682
O 0.090 0.090 0.647
O 0.090 0.647 0.090
O 0.318 0.318 0.920
O 0.318 0.920 0.318
O 0.353 0.910 0.910
O 0.385 0.385 0.385
O 0.615 0.615 0.615
O 0.647 0.090 0.090
O 0.682 0.080 0.682
O 0.682 0.682 0.080
O 0.910 0.353 0.910
O 0.910 0.910 0.353
O 0.920 0.318 0.318

MgTlV4O10: simulated powder diffraction line list (copper Kα), based on a cell relaxed with PBE+U.
Lines closer than 0.1° are merged.

Top 10 peaks for 15° ≤ 2θ ≤ 90°, in order of rising 2θ:
16.10°, I 46; 19.55°, I 100; 22.45°, I 67; 27.01°, I 51; 27.32°, I 74; 30.38°, I 85; 30.95°, I 85; 32.24°, I 46; 32.43°, I 55; 32.54°, I 53

Unit cell a=3.804 b=6.374 c=9.017 alpha=78.67 beta=89.92 gamma=73.59
Sites, in units of the cell vectors:
Mg 0.000 0.000 0.000
Tl 0.500 0.500 0.000
V 0.090 0.320 0.649
V 0.217 0.072 0.351
V 0.783 0.928 0.649
V 0.910 0.680 0.351
O 0.062 0.376 0.401
O 0.110 0.246 0.847
O 0.156 0.153 0.156
O 0.248 0.999 0.603
O 0.379 0.748 0.369
O 0.621 0.252 0.631
O 0.752 0.001 0.397
O 0.844 0.847 0.844
O 0.890 0.754 0.153
O 0.938 0.624 0.599

DySbMo2O9: simulated powder diffraction line list (copper Kα), based on a cell relaxed with PBE+U.
Lines closer than 0.1° are merged.

Top 10 peaks for 15° ≤ 2θ ≤ 90°, in order of rising 2θ:
15.75°, I 44; 18.37°, I 30; 23.24°, I 82; 24.94°, I 73; 26.42°, I 100; 27.33°, I 100; 27.58°, I 71; 28.36°, I 63; 47.06°, I 46; 48.16°, I 37

Unit cell a=9.712 b=9.712 c=10.864 alpha=111.88 beta=111.88 gamma=95.40
Sites, in units of the cell vectors:
Dy 0.126 0.874 0.750
Dy 0.328 0.672 0.250
Dy 0.672 0.328 0.750
Dy 0.874 0.126 0.250
Sb 0.349 0.380 0.464
Sb 0.380 0.349 0.964
Sb 0.620 0.651 0.036
Sb 0.651 0.620 0.536
Mo 0.046 0.259 0.025
Mo 0.057 0.434 0.693
Mo 0.259 0.046 0.525
Mo 0.434 0.057 0.193
Mo 0.566 0.943 0.807
Mo 0.741 0.954 0.475
Mo 0.943 0.566 0.307
Mo 0.954 0.741 0.975
O 0.021 0.694 0.498
O 0.043 0.221 0.174
O 0.067 0.095 0.898
O 0.094 0.557 0.252
O 0.095 0.067 0.398
O 0.130 0.702 0.068
O 0.144 0.621 0.726
O 0.209 0.365 0.797
O 0.221 0.043 0.674
O 0.222 0.406 0.079
O 0.298 0.870 0.432
O 0.306 0.979 0.002
O 0.365 0.209 0.297
O 0.379 0.856 0.774
O 0.406 0.222 0.579
O 0.423 0.542 0.400
O 0.443 0.906 0.248
O 0.458 0.577 0.100
O 0.542 0.423 0.900
O 0.557 0.094 0.752
O 0.577 0.458 0.600
O 0.594 0.778 0.421
O 0.621 0.144 0.226
O 0.635 0.791 0.703
O 0.694 0.021 0.998
O 0.702 0.130 0.568
O 0.778 0.594 0.921
O 0.779 0.957 0.326
O 0.791 0.635 0.203
O 0.856 0.379 0.274
O 0.870 0.298 0.932
O 0.905 0.933 0.602
O 0.906 0.443 0.748
O 0.933 0.905 0.102
O 0.957 0.779 0.826
O 0.979 0.306 0.502

Li3Mn4O8: simulated powder diffraction line list (copper Kα), based on a cell relaxed with PBE+U.
Lines closer than 0.1° are merged.

Top 10 peaks for 15° ≤ 2θ ≤ 90°, in order of rising 2θ:
17.10°, I 100; 18.10°, I 58; 18.42°, I 81; 34.71°, I 23; 35.01°, I 28; 35.50°, I 20; 41.71°, I 49; 42.75°, I 91; 59.87°, I 28; 62.62°, I 29

Unit cell a=5.936 b=5.936 c=10.961 alpha=106.44 beta=106.44 gamma=58.43
Sites, in units of the cell vectors:
Li 0.000 0.000 0.000
Li 0.085 0.085 0.212
Li 0.415 0.415 0.287
Li 0.500 0.500 0.500
Li 0.585 0.585 0.713
Li 0.915 0.915 0.788
Mn 0.000 0.000 0.500
Mn 0.000 0.500 0.000
Mn 0.000 0.500 0.500
Mn 0.249 0.249 0.748
Mn 0.500 0.000 0.000
Mn 0.500 0.000 0.500
Mn 0.500 0.500 0.000
Mn 0.751 0.751 0.252
O 0.114 0.635 0.399
O 0.135 0.613 0.898
O 0.141 0.141 0.895
O 0.149 0.149 0.396
O 0.352 0.352 0.104
O 0.360 0.360 0.605
O 0.365 0.886 0.601
O 0.387 0.865 0.102
O 0.613 0.135 0.898
O 0.635 0.114 0.399
O 0.640 0.640 0.395
O 0.648 0.648 0.896
O 0.851 0.851 0.604
O 0.859 0.859 0.105
O 0.865 0.387 0.102
O 0.886 0.365 0.601

KCrCdC6N6O: simulated powder diffraction line list (copper Kα), based on a cell relaxed with PBE+U.
Lines closer than 0.1° are merged.

Top 10 peaks for 15° ≤ 2θ ≤ 90°, in order of rising 2θ:
15.85°, I 93; 22.49°, I 100; 26.43°, I 13; 32.01°, I 60; 35.91°, I 28; 39.47°, I 31; 45.90°, I 31; 48.86°, I 13; 51.69°, I 30; 62.11°, I 25

Unit cell a=7.908 b=7.908 c=7.908 alpha=60.00 beta=60.00 gamma=60.00
Sites, in units of the cell vectors:
K 0.000 0.000 0.000
Cr 0.750 0.750 0.750
Cd 0.250 0.250 0.250
C 0.563 0.563 0.937
C 0.563 0.937 0.563
C 0.563 0.937 0.937
C 0.937 0.563 0.563
C 0.937 0.563 0.937
C 0.937 0.937 0.563
N 0.041 0.041 0.459
N 0.041 0.459 0.041
N 0.041 0.459 0.459
N 0.459 0.041 0.041
N 0.459 0.041 0.459
N 0.459 0.459 0.041
O 0.500 0.500 0.500